Starting from a cell relaxed with GGA-PBE, the powder X-ray diffraction pattern of Rb7Th6F32 was calculated for Cu Kα.

```
data_Rb7Th6F32
_chemical_formula_sum 'Rb7 Th6 F32'
_symmetry_space_group_name_H-M 'P 1'
_symmetry_Int_Tables_number 1
_symmetry_space_group_name_Hall 'P 1'
_cell_length_a 9.787
_cell_length_b 9.787
_cell_length_c 9.787
_cell_angle_alpha 106.74
_cell_angle_beta 106.74
_cell_angle_gamma 106.74
loop_
_atom_site_label
_atom_site_fract_x
_atom_site_fract_y
_atom_site_fract_z
Rb1 0.000 0.000 0.000
Rb2 0.078 0.219 0.680
Rb3 0.219 0.680 0.078
Rb4 0.320 0.922 0.781
Rb5 0.680 0.078 0.219
Rb6 0.781 0.320 0.922
Rb7 0.922 0.781 0.320
Th1 0.138 0.456 0.380
Th2 0.380 0.138 0.456
Th3 0.456 0.380 0.138
Th4 0.544 0.620 0.862
Th5 0.620 0.862 0.544
Th6 0.862 0.544 0.620
F1 0.029 0.553 0.218
F2 0.054 0.642 0.523
F3 0.061 0.753 0.825
F4 0.171 0.229 0.405
F5 0.175 0.939 0.247
F6 0.218 0.029 0.553
F7 0.229 0.405 0.171
F8 0.247 0.175 0.939
F9 0.299 0.540 0.653
F10 0.347 0.701 0.460
F11 0.358 0.477 0.946
F12 0.405 0.171 0.229
F13 0.411 0.411 0.411
F14 0.447 0.782 0.971
F15 0.460 0.347 0.701
F16 0.477 0.946 0.358
F17 0.523 0.054 0.642
F18 0.540 0.653 0.299
F19 0.553 0.218 0.029
F20 0.589 0.589 0.589
F21 0.595 0.829 0.771
F22 0.642 0.523 0.054
F23 0.653 0.299 0.540
F24 0.701 0.460 0.347
F25 0.753 0.825 0.061
F26 0.771 0.595 0.829
F27 0.782 0.971 0.447
F28 0.825 0.061 0.753
F29 0.829 0.771 0.595
F30 0.939 0.247 0.175
F31 0.946 0.358 0.477
F32 0.971 0.447 0.782
```

Main lines, in order of rising 2θ (10 to 80 degrees two-theta):
- 10.32°, intensity 25.2
- 17.34°, intensity 13.7
- 24.19°, intensity 35.5
- 24.94°, intensity 100.0
- 28.66°, intensity 56.0
- 40.51°, intensity 35.4
- 41.45°, intensity 42.6
- 47.74°, intensity 21.7
- 48.57°, intensity 38.2
- 48.99°, intensity 17.1
- 51.17°, intensity 13.4
- 66.06°, intensity 14.0

=====

Starting from a cell relaxed with GGA-PBE, the powder X-ray diffraction pattern of Rb5Ti2F12 was calculated for Cu Kα.

```
data_Rb5Ti2F12
_chemical_formula_sum 'Rb5 Ti2 F12'
_symmetry_space_group_name_H-M 'P 1'
_symmetry_Int_Tables_number 1
_symmetry_space_group_name_Hall 'P 1'
_cell_length_a 6.419
_cell_length_b 7.279
_cell_length_c 9.079
_cell_angle_alpha 84.79
_cell_angle_beta 87.16
_cell_angle_gamma 72.19
loop_
_atom_site_label
_atom_site_fract_x
_atom_site_fract_y
_atom_site_fract_z
Rb1 0.000 0.000 0.000
Rb2 0.086 0.816 0.468
Rb3 0.277 0.379 0.172
Rb4 0.546 0.806 0.752
Rb5 0.714 0.360 0.466
Ti1 0.201 0.351 0.701
Ti2 0.597 0.849 0.233
F1 0.118 0.116 0.670
F2 0.142 0.309 0.909
F3 0.246 0.402 0.487
F4 0.273 0.587 0.734
F5 0.282 0.995 0.238
F6 0.503 0.202 0.708
F7 0.522 0.615 0.208
F8 0.590 0.792 0.444
F9 0.602 0.912 0.024
F10 0.688 0.079 0.264
F11 0.903 0.511 0.675
F12 0.910 0.704 0.221
```

Main lines, in order of rising 2θ (10 to 80 degrees two-theta):
- 19.65°, intensity 33.5
- 23.98°, intensity 48.7
- 24.46°, intensity 100.0
- 24.77°, intensity 59.0
- 25.79°, intensity 52.4
- 26.61°, intensity 34.7
- 28.15°, intensity 66.9
- 29.26°, intensity 33.4
- 30.24°, intensity 37.1
- 35.55°, intensity 39.2
- 39.90°, intensity 56.8
- 41.64°, intensity 32.4

=====

Starting from a cell relaxed with GGA-PBE, the powder X-ray diffraction pattern of RbTiF5 was calculated for Cu Kα.

```
data_RbTiF5
_chemical_formula_sum 'Rb2 Ti2 F10'
_symmetry_space_group_name_H-M 'P 1'
_symmetry_Int_Tables_number 1
_symmetry_space_group_name_Hall 'P 1'
_cell_length_a 6.938
_cell_length_b 6.938
_cell_length_c 7.893
_cell_angle_alpha 124.38
_cell_angle_beta 124.38
_cell_angle_gamma 71.29
loop_
_atom_site_label
_atom_site_fract_x
_atom_site_fract_y
_atom_site_fract_z
Rb1 0.006 0.994 0.750
Rb2 0.994 0.006 0.250
Ti1 0.500 0.500 0.000
Ti2 0.500 0.500 0.500
F1 0.270 0.729 0.010
F2 0.271 0.271 0.272
F3 0.271 0.271 0.772
F4 0.271 0.730 0.490
F5 0.487 0.513 0.750
F6 0.513 0.487 0.250
F7 0.729 0.270 0.510
F8 0.729 0.729 0.228
F9 0.729 0.729 0.728
F10 0.730 0.271 0.990
```

Main lines, in order of rising 2θ (10 to 80 degrees two-theta):
- 21.95°, intensity 100.0
- 27.38°, intensity 36.6
- 27.51°, intensity 35.4
- 31.24°, intensity 9.5
- 38.76°, intensity 16.0
- 38.96°, intensity 15.8
- 42.10°, intensity 15.7
- 44.70°, intensity 14.6
- 44.84°, intensity 14.2
- 45.99°, intensity 13.7
- 50.40°, intensity 17.6
- 63.19°, intensity 12.0

=====

Starting from a cell relaxed with GGA-PBE, the powder X-ray diffraction pattern of RbTi4F12 was calculated for Cu Kα.

```
data_RbTi4F12
_chemical_formula_sum 'Rb1 Ti4 F12'
_symmetry_space_group_name_H-M 'P 1'
_symmetry_Int_Tables_number 1
_symmetry_space_group_name_Hall 'P 1'
_cell_length_a 6.994
_cell_length_b 6.994
_cell_length_c 6.994
_cell_angle_alpha 109.47
_cell_angle_beta 109.47
_cell_angle_gamma 109.47
loop_
_atom_site_label
_atom_site_fract_x
_atom_site_fract_y
_atom_site_fract_z
Rb1 0.000 0.000 0.000
Ti1 0.000 0.000 0.500
Ti2 0.000 0.500 0.000
Ti3 0.500 0.000 0.000
Ti4 0.500 0.500 0.500
F1 0.000 0.249 0.751
F2 0.000 0.751 0.249
F3 0.249 0.000 0.751
F4 0.249 0.249 0.498
F5 0.249 0.498 0.249
F6 0.249 0.751 0.000
F7 0.498 0.249 0.249
F8 0.502 0.751 0.751
F9 0.751 0.000 0.249
F10 0.751 0.249 0.000
F11 0.751 0.502 0.751
F12 0.751 0.751 0.502
```

Main lines, in order of rising 2θ (10 to 80 degrees two-theta):
- 15.52°, intensity 94.0
- 22.01°, intensity 100.0
- 27.05°, intensity 47.1
- 31.33°, intensity 85.2
- 35.14°, intensity 23.4
- 41.85°, intensity 30.0
- 44.90°, intensity 97.7
- 47.78°, intensity 14.6
- 50.54°, intensity 31.5
- 55.77°, intensity 32.4
- 58.26°, intensity 16.4
- 65.37°, intensity 52.6

=====

Starting from a cell relaxed with GGA-PBE, the powder X-ray diffraction pattern of Rb2Ti2F was calculated for Cu Kα.

```
data_Rb2Ti2F
_chemical_formula_sum 'Rb4 Ti4 F2'
_symmetry_space_group_name_H-M 'P 1'
_symmetry_Int_Tables_number 1
_symmetry_space_group_name_Hall 'P 1'
_cell_length_a 7.436
_cell_length_b 7.436
_cell_length_c 6.323
_cell_angle_alpha 90.00
_cell_angle_beta 90.00
_cell_angle_gamma 90.00
loop_
_atom_site_label
_atom_site_fract_x
_atom_site_fract_y
_atom_site_fract_z
Rb1 0.000 0.500 0.250
Rb2 0.000 0.500 0.750
Rb3 0.500 0.000 0.250
Rb4 0.500 0.000 0.750
Ti1 0.000 0.000 0.160
Ti2 0.000 0.000 0.840
Ti3 0.500 0.500 0.340
Ti4 0.500 0.500 0.660
F1 0.000 0.000 0.500
F2 0.500 0.500 0.000
```

Main lines, in order of rising 2θ (10 to 80 degrees two-theta):
- 23.93°, intensity 100.0
- 28.23°, intensity 14.6
- 33.06°, intensity 23.7
- 34.10°, intensity 38.9
- 37.33°, intensity 27.3
- 44.84°, intensity 16.1
- 48.23°, intensity 15.8
- 49.00°, intensity 13.1
- 55.25°, intensity 17.9
- 57.51°, intensity 7.6
- 63.18°, intensity 11.5
- 71.98°, intensity 9.4

=====

Starting from a cell relaxed with GGA-PBE, the powder X-ray diffraction pattern of Rb2TiZnF6 was calculated for Cu Kα.

```
data_Rb2TiZnF6
_chemical_formula_sum 'Rb2 Ti1 Zn1 F6'
_symmetry_space_group_name_H-M 'P 1'
_symmetry_Int_Tables_number 1
_symmetry_space_group_name_Hall 'P 1'
_cell_length_a 6.673
_cell_length_b 6.673
_cell_length_c 6.673
_cell_angle_alpha 60.00
_cell_angle_beta 60.00
_cell_angle_gamma 60.00
loop_
_atom_site_label
_atom_site_fract_x
_atom_site_fract_y
_atom_site_fract_z
Rb1 0.250 0.250 0.250
Rb2 0.750 0.750 0.750
Ti1 0.000 0.000 0.000
Zn1 0.500 0.500 0.500
F1 0.201 0.201 0.799
F2 0.201 0.799 0.201
F3 0.201 0.799 0.799
F4 0.799 0.201 0.201
F5 0.799 0.201 0.799
F6 0.799 0.799 0.201
```

Main lines, in order of rising 2θ (10 to 80 degrees two-theta):
- 26.72°, intensity 100.0
- 31.44°, intensity 1.8
- 32.88°, intensity 12.5
- 38.15°, intensity 39.3
- 41.72°, intensity 4.6
- 47.18°, intensity 33.9
- 50.24°, intensity 2.5
- 55.05°, intensity 21.7
- 62.22°, intensity 22.8
- 65.62°, intensity 2.2
- 68.94°, intensity 6.1
- 75.37°, intensity 22.2

=====

Starting from a cell relaxed with GGA-PBE, the powder X-ray diffraction pattern of RbTl2F3 was calculated for Cu Kα.

```
data_RbTl2F3
_chemical_formula_sum 'Rb2 Tl4 F6'
_symmetry_space_group_name_H-M 'P 1'
_symmetry_Int_Tables_number 1
_symmetry_space_group_name_Hall 'P 1'
_cell_length_a 3.680
_cell_length_b 11.145
_cell_length_c 7.113
_cell_angle_alpha 90.00
_cell_angle_beta 90.00
_cell_angle_gamma 90.00
loop_
_atom_site_label
_atom_site_fract_x
_atom_site_fract_y
_atom_site_fract_z
Rb1 0.000 0.092 0.000
Rb2 0.000 0.908 0.500
Tl1 0.000 0.248 0.530
Tl2 0.000 0.752 0.030
Tl3 0.500 0.421 0.069
Tl4 0.500 0.579 0.569
F1 0.000 0.339 0.876
F2 0.000 0.661 0.376
F3 0.500 0.095 0.657
F4 0.500 0.228 0.216
F5 0.500 0.772 0.716
F6 0.500 0.905 0.157
```

Main lines, in order of rising 2θ (10 to 80 degrees two-theta):
- 25.04°, intensity 56.7
- 25.49°, intensity 26.8
- 27.08°, intensity 100.0
- 28.46°, intensity 49.3
- 29.08°, intensity 29.2
- 31.74°, intensity 37.5
- 36.04°, intensity 25.3
- 38.75°, intensity 31.6
- 42.64°, intensity 21.2
- 45.38°, intensity 24.8
- 49.52°, intensity 32.0
- 57.37°, intensity 25.8

=====

Starting from a cell relaxed with GGA-PBE, the powder X-ray diffraction pattern of RbTlF4 was calculated for Cu Kα.

```
data_RbTlF4
_chemical_formula_sum 'Rb4 Tl4 F16'
_symmetry_space_group_name_H-M 'P 1'
_symmetry_Int_Tables_number 1
_symmetry_space_group_name_Hall 'P 1'
_cell_length_a 6.376
_cell_length_b 8.448
_cell_length_c 8.555
_cell_angle_alpha 90.00
_cell_angle_beta 90.00
_cell_angle_gamma 90.00
loop_
_atom_site_label
_atom_site_fract_x
_atom_site_fract_y
_atom_site_fract_z
Rb1 0.011 0.190 0.250
Rb2 0.011 0.310 0.750
Rb3 0.989 0.690 0.250
Rb4 0.989 0.810 0.750
Tl1 0.500 0.000 0.000
Tl2 0.500 0.000 0.500
Tl3 0.500 0.500 0.000
Tl4 0.500 0.500 0.500
F1 0.200 0.574 0.567
F2 0.200 0.574 0.933
F3 0.200 0.926 0.067
F4 0.200 0.926 0.433
F5 0.362 0.250 0.000
F6 0.362 0.250 0.500
F7 0.387 0.525 0.250
F8 0.387 0.975 0.750
F9 0.613 0.025 0.250
F10 0.613 0.475 0.750
F11 0.638 0.750 0.000
F12 0.638 0.750 0.500
F13 0.800 0.074 0.567
F14 0.800 0.074 0.933
F15 0.800 0.426 0.067
F16 0.800 0.426 0.433
```

Main lines, in order of rising 2θ (10 to 80 degrees two-theta):
- 13.89°, intensity 41.5
- 20.77°, intensity 20.1
- 21.03°, intensity 25.4
- 25.07°, intensity 100.0
- 25.29°, intensity 84.7
- 27.99°, intensity 31.7
- 29.72°, intensity 49.1
- 41.28°, intensity 44.5
- 47.79°, intensity 20.8
- 47.92°, intensity 19.5
- 49.89°, intensity 28.9
- 50.26°, intensity 17.6